# 1
Starting from a DFT-relaxed cell (PBE, the Materials Project), the powder X-ray diffraction pattern of Co2As was calculated for a wavelength of 1.5418 Å.

Peak list (8 most intense, 15 to 90 degrees two-theta, in order of rising 2θ)
Position (°2θ)	I_rel
39.38	100
43.26	73
46.64	21
47.76	46
50.99	45
53.35	45
53.57	25
76.92	29

Atomic structure:
```
data_Co2As
_chemical_formula_sum 'Co24 As12'
_space_group_name_H-M_alt 'P -6 2 m'
_space_group_IT_number 189
_space_group_name_Hall 'P -6 -2'
_cell_length_a 11.8979
_cell_length_b 11.8979
_cell_length_c 3.5819
_cell_angle_alpha 90.00
_cell_angle_beta 90.00
_cell_angle_gamma 120.00
loop_
_atom_site_label
_atom_site_type_symbol
_atom_site_fract_x
_atom_site_fract_y
_atom_site_fract_z
_atom_site_occupancy
Co1 Co 0.0000 0.1279 0.0000 1
Co2 Co 0.0000 0.3124 0.5000 1
Co3 Co 0.0000 0.6280 0.0000 1
Co4 Co 0.0000 0.7968 0.5000 1
Co5 Co 0.1725 0.5437 0.0000 1
Co6 Co 0.1753 0.7187 0.5000 1
As1 As 0.0000 0.0000 0.5000 1
As2 As 0.0000 0.5028 0.5000 1
As3 As 0.1585 0.3363 0.0000 1
As4 As 0.3333 0.6667 0.5000 1
```

***

# 2
Starting from a DFT-relaxed cell (PBE, the Materials Project), the powder X-ray diffraction pattern of SmAlSi was calculated for a wavelength of 1.5418 Å.

Peak list (8 most intense, 15 to 90 degrees two-theta, in order of rising 2θ)
Position (°2θ)	I_rel
22.13	41
24.49	24
28.19	52
32.71	100
37.69	42
43.30	30
48.97	20
58.72	23

Atomic structure:
```
data_SmAlSi
_chemical_formula_sum 'Sm4 Al4 Si4'
_space_group_name_H-M_alt 'I 41 m d'
_space_group_IT_number 109
_space_group_name_Hall 'I 4bw -2'
_cell_length_a 4.1796
_cell_length_b 4.1796
_cell_length_c 14.5388
_cell_angle_alpha 90.00
_cell_angle_beta 90.00
_cell_angle_gamma 90.00
loop_
_atom_site_label
_atom_site_type_symbol
_atom_site_fract_x
_atom_site_fract_y
_atom_site_fract_z
_atom_site_occupancy
Sm1 Sm 0.0000 0.0000 0.0000 1
Al1 Al 0.0000 0.0000 0.4162 1
Si1 Si 0.0000 0.0000 0.5818 1
```

***

# 3
Starting from a DFT-relaxed cell (PBE, the Materials Project), the powder X-ray diffraction pattern of Sr2NdTaO6 was calculated for a wavelength of 1.5418 Å.

Peak list (8 most intense, 15 to 90 degrees two-theta, in order of rising 2θ)
Position (°2θ)	I_rel
21.01	26
29.39	24
29.90	100
30.31	23
42.73	24
42.86	13
52.45	18
53.52	16

Atomic structure:
```
data_Sr2NdTaO6
_chemical_formula_sum 'Sr4 Nd2 Ta2 O12'
_space_group_name_H-M_alt 'P 1 21/c 1'
_space_group_IT_number 14
_space_group_name_Hall '-P 2ybc'
_cell_length_a 5.8970
_cell_length_b 6.0772
_cell_length_c 10.2825
_cell_angle_alpha 90.00
_cell_angle_beta 124.83
_cell_angle_gamma 90.00
loop_
_atom_site_label
_atom_site_type_symbol
_atom_site_fract_x
_atom_site_fract_y
_atom_site_fract_z
_atom_site_occupancy
Sr1 Sr 0.2415 0.0456 0.2533 1
Nd1 Nd 0.5000 0.0000 0.0000 1
Ta1 Ta 0.0000 0.0000 0.5000 1
O1 O 0.1269 0.2273 0.9439 1
O2 O 0.2317 0.6858 0.9557 1
O3 O 0.3226 0.0374 0.7287 1
```

***

# 4
Starting from a DFT-relaxed cell (PBE, the Materials Project), the powder X-ray diffraction pattern of U2SN2 was calculated for a wavelength of 1.5418 Å.

Peak list (8 most intense, 15 to 90 degrees two-theta, in order of rising 2θ)
Position (°2θ)	I_rel
27.00	20
27.22	22
30.31	100
38.71	28
47.70	27
50.07	22
55.78	20
57.56	17

Atomic structure:
```
data_U2SN2
_chemical_formula_sum 'U2 S1 N2'
_space_group_name_H-M_alt 'P -3 m 1'
_space_group_IT_number 164
_space_group_name_Hall '-P 3 2"'
_cell_length_a 3.8136
_cell_length_b 3.8136
_cell_length_c 6.5530
_cell_angle_alpha 90.00
_cell_angle_beta 90.00
_cell_angle_gamma 120.00
loop_
_atom_site_label
_atom_site_type_symbol
_atom_site_fract_x
_atom_site_fract_y
_atom_site_fract_z
_atom_site_occupancy
U1 U 0.3333 0.6667 0.2164 1
S1 S 0.0000 0.0000 0.5000 1
N1 N 0.3333 0.6667 0.8695 1
```

***

# 5
Starting from a DFT-relaxed cell (PBE, the Materials Project), the powder X-ray diffraction pattern of HoMnB4 was calculated for a wavelength of 1.5418 Å.

Peak list (8 most intense, 15 to 90 degrees two-theta, in order of rising 2θ)
Position (°2θ)	I_rel
21.69	29
26.26	66
27.94	35
31.37	92
34.31	25
38.71	51
41.35	100
44.26	23

Atomic structure:
```
data_HoMnB4
_chemical_formula_sum 'Ho4 Mn4 B16'
_space_group_name_H-M_alt 'P b a m'
_space_group_IT_number 55
_space_group_name_Hall '-P 2 2ab'
_cell_length_a 5.8936
_cell_length_b 11.3965
_cell_length_c 3.3940
_cell_angle_alpha 90.00
_cell_angle_beta 90.00
_cell_angle_gamma 90.00
loop_
_atom_site_label
_atom_site_type_symbol
_atom_site_fract_x
_atom_site_fract_y
_atom_site_fract_z
_atom_site_occupancy
Ho1 Ho 0.1261 0.1504 0.0000 1
Mn1 Mn 0.1276 0.4162 0.0000 1
B1 B 0.0247 0.6912 0.5000 1
B2 B 0.1124 0.5464 0.5000 1
B3 B 0.1378 0.9678 0.5000 1
B4 B 0.2186 0.8161 0.5000 1
```

***

# 6
Starting from a DFT-relaxed cell (PBE, the Materials Project), the powder X-ray diffraction pattern of Sr2DyNbO6 was calculated for a wavelength of 1.5418 Å.

Peak list (8 most intense, 15 to 90 degrees two-theta, in order of rising 2θ)
Position (°2θ)	I_rel
21.04	10
29.92	100
42.83	32
53.12	40
62.17	20
70.52	18
78.45	7
86.17	21

Atomic structure:
```
data_Sr2DyNbO6
_chemical_formula_sum 'Sr8 Dy4 Nb4 O24'
_space_group_name_H-M_alt 'F m -3 m'
_space_group_IT_number 225
_space_group_name_Hall '-F 4 2 3'
_cell_length_a 8.4460
_cell_length_b 8.4460
_cell_length_c 8.4460
_cell_angle_alpha 90.00
_cell_angle_beta 90.00
_cell_angle_gamma 90.00
loop_
_atom_site_label
_atom_site_type_symbol
_atom_site_fract_x
_atom_site_fract_y
_atom_site_fract_z
_atom_site_occupancy
Sr1 Sr 0.2500 0.2500 0.2500 1
Dy1 Dy 0.0000 0.0000 0.0000 1
Nb1 Nb 0.0000 0.0000 0.5000 1
O1 O 0.0000 0.0000 0.2623 1
```

***

# 7
Starting from a DFT-relaxed cell (PBE, the Materials Project), the powder X-ray diffraction pattern of TaAuBr was calculated for a wavelength of 1.5418 Å.

Peak list (8 most intense, 15 to 90 degrees two-theta, in order of rising 2θ)
Position (°2θ)	I_rel
24.40	9
28.25	53
40.38	100
50.01	15
58.42	17
66.14	20
73.41	35
87.29	12

Atomic structure:
```
data_TaAuBr
_chemical_formula_sum 'Ta4 Au4 Br4'
_space_group_name_H-M_alt 'F -4 3 m'
_space_group_IT_number 216
_space_group_name_Hall 'F -4 2 3'
_cell_length_a 6.3184
_cell_length_b 6.3184
_cell_length_c 6.3184
_cell_angle_alpha 90.00
_cell_angle_beta 90.00
_cell_angle_gamma 90.00
loop_
_atom_site_label
_atom_site_type_symbol
_atom_site_fract_x
_atom_site_fract_y
_atom_site_fract_z
_atom_site_occupancy
Ta1 Ta 0.0000 0.0000 0.0000 1
Au1 Au 0.0000 0.0000 0.5000 1
Br1 Br 0.2500 0.2500 0.2500 1
```